Structure and simulated XRD peak list of Li4Mn3O7 (a cell relaxed with PBE+U; Cu Kα X-rays).
No peak broadening, texture or thermal motion is included.

Structure:
Cell lengths 5.0922, 7.0594, 7.6960 Å; angles 83.02, 75.86, 78.57 degrees
Element x y z (fractional)
Li 0.0000 0.0000 0.0000
Li 0.0741 0.8592 0.3501
Li 0.2040 0.5543 0.0677
Li 0.3302 0.2542 0.7835
Li 0.5000 0.0000 0.5000
Li 0.6698 0.7458 0.2165
Li 0.7960 0.4457 0.9323
Li 0.9259 0.1408 0.6499
Mn 0.1458 0.7294 0.7201
Mn 0.2837 0.4274 0.4265
Mn 0.4293 0.1314 0.1397
Mn 0.5707 0.8686 0.8603
Mn 0.7163 0.5726 0.5735
Mn 0.8542 0.2706 0.2799
O 0.0290 0.4290 0.6657
O 0.1105 0.2812 0.0494
O 0.1721 0.1420 0.3743
O 0.2732 0.9925 0.7562
O 0.3488 0.8843 0.1014
O 0.3995 0.7043 0.4808
O 0.4751 0.6131 0.8202
O 0.5249 0.3869 0.1798
O 0.6005 0.2957 0.5192
O 0.6512 0.1157 0.8986
O 0.7268 0.0075 0.2438
O 0.8279 0.8580 0.6257
O 0.8895 0.7188 0.9506
O 0.9710 0.5710 0.3343

Principal peaks in the range 2θ = 10–90°, most intense first:
| Position (°2θ) | intensity |
| --- | --- |
| 18.20 | 100 |
| 39.98 | 34 |
| 44.31 | 26 |
| 44.61 | 26 |
| 33.62 | 15 |
| 36.19 | 12 |
| 36.50 | 12 |
| 61.20 | 8 |
| 61.34 | 8 |
| 61.06 | 8 |

=====

Structure and simulated XRD peak list of Li8Mn5O10 (a cell relaxed with PBE+U; Cu Kα X-rays).
No peak broadening, texture or thermal motion is included.

Structure:
Cell lengths 5.2203, 5.4797, 8.4534 Å; angles 105.70, 92.41, 92.14 degrees
Element x y z (fractional)
Li 0.0000 0.0000 0.0000
Li 0.0021 0.1784 0.4134
Li 0.1736 0.0552 0.7353
Li 0.2109 0.6536 0.0387
Li 0.2188 0.8172 0.3947
Li 0.2325 0.4856 0.6097
Li 0.2472 0.2750 0.2204
Li 0.9708 0.4226 0.8155
Mn 0.5828 0.7447 0.8218
Mn 0.6117 0.3325 0.0097
Mn 0.6196 0.1156 0.6027
Mn 0.6392 0.9079 0.2054
Mn 0.6626 0.5263 0.4104
O 0.3402 0.4088 0.8192
O 0.3754 0.1999 0.4336
O 0.3822 0.9925 0.0418
O 0.3957 0.8158 0.6072
O 0.4148 0.6043 0.2168
O 0.8230 0.0807 0.8036
O 0.8456 0.8660 0.3959
O 0.8473 0.6680 0.9961
O 0.8506 0.4045 0.5981
O 0.8566 0.2143 0.2058

Principal peaks in the range 2θ = 10–90°, most intense first:
| Position (°2θ) | intensity |
| --- | --- |
| 17.02 | 100 |
| 37.65 | 54 |
| 34.76 | 38 |
| 32.78 | 14 |
| 31.25 | 14 |
| 49.01 | 13 |
| 45.52 | 13 |
| 49.14 | 13 |
| 36.76 | 11 |
| 56.55 | 10 |

=====

Structure and simulated XRD peak list of Li2MnO2 (a cell relaxed with PBE+U; Cu Kα X-rays).
No peak broadening, texture or thermal motion is included.

Structure:
Cell lengths 3.0572, 3.6529, 10.0246 Å; angles 90.00, 90.00, 90.00 degrees
Element x y z (fractional)
Li 0.0000 0.0000 0.2229
Li 0.0000 0.0000 0.7771
Li 0.5000 0.5000 0.2771
Li 0.5000 0.5000 0.7229
Mn 0.0000 0.0000 0.5000
Mn 0.5000 0.5000 0.0000
O 0.0000 0.5000 0.1464
O 0.0000 0.5000 0.8536
O 0.5000 0.0000 0.3536
O 0.5000 0.0000 0.6464

Principal peaks in the range 2θ = 10–90°, most intense first:
| Position (°2θ) | intensity |
| --- | --- |
| 25.96 | 100 |
| 39.97 | 44 |
| 53.52 | 34 |
| 17.70 | 30 |
| 42.57 | 26 |
| 65.79 | 16 |
| 30.57 | 13 |
| 49.93 | 12 |
| 67.02 | 10 |
| 70.65 | 7 |

=====

Structure and simulated XRD peak list of LiMn16O32 (a cell relaxed with PBE+U; Cu Kα X-rays).
No peak broadening, texture or thermal motion is included.

Structure:
Cell lengths 9.7971, 5.8850, 10.0433 Å; angles 90.00, 90.71, 90.00 degrees
Element x y z (fractional)
Li 0.0000 0.0000 0.0000
Mn 0.1624 0.2510 0.2642
Mn 0.1624 0.7490 0.2642
Mn 0.1783 0.0000 0.5773
Mn 0.1785 0.5000 0.5779
Mn 0.3415 0.2502 0.7790
Mn 0.3415 0.7498 0.7790
Mn 0.3553 0.5000 0.0926
Mn 0.3567 0.0000 0.0919
Mn 0.6629 0.0000 0.7631
Mn 0.6636 0.5000 0.7633
Mn 0.6786 0.2509 0.0767
Mn 0.6786 0.7491 0.0767
Mn 0.8401 0.0000 0.2814
Mn 0.8401 0.5000 0.2794
Mn 0.8567 0.2504 0.5936
Mn 0.8567 0.7496 0.5936
O 0.0527 0.2500 0.5857
O 0.0527 0.7500 0.5857
O 0.1564 0.0000 0.1322
O 0.1590 0.5000 0.1363
O 0.1821 0.0000 0.3853
O 0.1827 0.5000 0.3857
O 0.2091 0.0000 0.7708
O 0.2106 0.5000 0.7700
O 0.3087 0.2497 0.5874
O 0.3087 0.7503 0.5874
O 0.3336 0.2498 0.9703
O 0.3336 0.7502 0.9703
O 0.3551 0.2491 0.2199
O 0.3551 0.7509 0.2199
O 0.4671 0.0000 0.7726
O 0.4673 0.5000 0.7725
O 0.5525 0.0000 0.0833
O 0.5519 0.5000 0.0832
O 0.6632 0.2500 0.6360
O 0.6632 0.7500 0.6360
O 0.6859 0.2499 0.8852
O 0.6859 0.7501 0.8852
O 0.7102 0.2496 0.2690
O 0.7102 0.7504 0.2690
O 0.8104 0.5000 0.0871
O 0.8155 0.0000 0.0857
O 0.8365 0.0000 0.4720
O 0.8368 0.5000 0.4716
O 0.8584 0.0000 0.7231
O 0.8580 0.5000 0.7214
O 0.9661 0.2496 0.2705
O 0.9661 0.7504 0.2705

Principal peaks in the range 2θ = 10–90°, most intense first:
| Position (°2θ) | intensity |
| --- | --- |
| 12.54 | 100 |
| 12.70 | 99 |
| 18.11 | 92 |
| 17.66 | 79 |
| 36.66 | 61 |
| 36.79 | 49 |
| 36.51 | 44 |
| 28.64 | 40 |
| 28.28 | 39 |
| 35.76 | 27 |